Structure and theoretical powder diffractogram of NaPuHg6 (a PBE-relaxed structure; copper Kα).

The 10 most intense peaks (15 to 90 degrees two-theta), by angle:
Position (°2θ), intensity, (hkl)
15.32, 9, 1 0 0
30.91, 25, 2 0 0
34.24, 24, 0 0 2
35.45, 100, 2 0 1
46.79, 16, 2 0 2
54.98, 20, 2 2 0
62.09, 20, 2 0 3
66.39, 22, 2 2 2
67.14, 16, 4 0 1
87.60, 8, 4 0 3

Atomic structure:
Lattice parameters (Å, degrees): 6.6801 6.6801 5.2379 90.00 90.00 120.00
Space group P-6m2 (No. 187)
Inequivalent atoms, fractional coordinates:
Na 0.0000 0.0000 0.0000
Pu 0.6667 0.3333 0.5000
Hg 0.0027 0.5013 0.0000
Hg 0.1687 0.3375 0.5000

=====

Structure and theoretical powder diffractogram of Na4PuHg15 (a PBE-relaxed structure; copper Kα).

The 10 most intense peaks (15 to 90 degrees two-theta), by angle:
Position (°2θ), intensity, (hkl)
18.85, 8, 1 0 0
26.94, 7, 1 0 5
33.09, 100, 1 1 5
38.24, 34, 2 0 0
38.70, 16, 0 0 10
55.19, 12, 2 2 0
55.53, 23, 2 0 10
65.87, 28, 3 1 5
66.50, 14, 1 1 15
69.43, 12, 2 2 10

Atomic structure:
Lattice parameters (Å, degrees): 4.7076 4.7076 23.2686 90.00 90.00 90.00
Space group P4/mmm (No. 123)
Inequivalent atoms, fractional coordinates:
Na 0.0000 0.0000 0.1001
Na 0.0000 0.0000 0.2994
Pu 0.0000 0.0000 0.5000
Hg 0.0000 0.5000 0.0000
Hg 0.0000 0.5000 0.2002
Hg 0.0000 0.5000 0.3999
Hg 0.5000 0.5000 0.0998
Hg 0.5000 0.5000 0.3017
Hg 0.5000 0.5000 0.5000

=====

Structure and theoretical powder diffractogram of Rb8Na2Hg3 (a PBE-relaxed structure; copper Kα).

The 10 most intense peaks (15 to 90 degrees two-theta), by angle:
Position (°2θ), intensity, (hkl)
21.40, 21, 0 1 2
26.99, 100, 3 1 -1
27.23, 25, 0 2 0
27.33, 25, 2 0 2
28.88, 15, 1 2 -1
34.46, 20, 4 1 -2
38.96, 19, 2 2 2
47.97, 21, 3 3 -1
48.11, 23, 1 1 5
63.53, 16, 2 4 2

Atomic structure:
Lattice parameters (Å, degrees): 11.4727 6.5508 11.4884 90.00 110.72 90.00
Space group P2/m (No. 10)
Inequivalent atoms, fractional coordinates:
Rb 0.1133 0.0000 0.3868
Rb 0.1361 0.5000 0.8654
Rb 0.3656 0.5000 0.6351
Rb 0.3825 0.0000 0.1176
Na 0.2420 0.5000 0.2563
Hg 0.0000 0.5000 0.5000
Hg 0.2485 0.0000 0.7483

=====

Structure and theoretical powder diffractogram of Rb3Na5Hg6 (a PBE-relaxed structure; copper Kα).

The 10 most intense peaks (15 to 90 degrees two-theta), by angle:
Position (°2θ), intensity, (hkl)
18.55, 23, 0 2 2
28.18, 100, 1 2 3
30.07, 24, 0 4 0
32.65, 46, 1 0 5
34.40, 35, 2 0 0
36.09, 71, 1 2 5
37.67, 18, 2 2 0
44.97, 25, 0 0 8
47.69, 34, 0 2 8
57.86, 20, 3 2 3

Atomic structure:
Lattice parameters (Å, degrees): 5.2143 11.8872 16.1217 90.00 90.00 90.00
Space group Immm (No. 71)
Inequivalent atoms, fractional coordinates:
Rb 0.0000 0.0000 0.0000
Rb 0.0000 0.0000 0.3224
Na 0.0000 0.3355 0.3157
Na 0.0000 0.5000 0.0000
Hg 0.0000 0.2197 0.5000
Hg 0.0000 0.2797 0.1162

=====

Structure and theoretical powder diffractogram of Rb2Na3Hg6 (a PBE-relaxed structure; copper Kα).

The 10 most intense peaks (15 to 90 degrees two-theta), by angle:
Position (°2θ), intensity, (hkl)
15.10, 30, 2 0 0
18.54, 100, 0 0 1
24.00, 56, 2 0 1
27.17, 34, 2 2 1
27.66, 75, 1 3 1
29.70, 80, 3 3 0
35.25, 69, 3 3 1
37.60, 37, 0 0 2
38.25, 33, 0 6 0
48.63, 42, 3 3 2

Atomic structure:
Lattice parameters (Å, degrees): 11.7348 14.1116 4.7848 90.00 90.00 90.00
Space group Cmmm (No. 65)
Inequivalent atoms, fractional coordinates:
Rb 0.0000 0.2022 0.0000
Na 0.0000 0.5000 0.5000
Na 0.2038 0.5000 0.0000
Hg 0.1248 0.0000 0.5000
Hg 0.1926 0.3424 0.5000

=====

Structure and theoretical powder diffractogram of Rb5Na2Hg (a PBE-relaxed structure; copper Kα).

The 10 most intense peaks (15 to 90 degrees two-theta), by angle:
Position (°2θ), intensity, (hkl)
19.29, 100, 0 0 6
23.00, 41, 1 1 4
24.78, 44, 0 4 2
24.97, 49, 1 1 5
25.51, 56, 0 2 7
25.79, 28, 0 0 8
26.34, 66, 1 3 2
27.32, 62, 1 3 3
34.94, 31, 1 1 9
36.59, 59, 2 0 0

Atomic structure:
Lattice parameters (Å, degrees): 4.9099 14.8830 27.6844 90.00 90.00 90.00
Space group Cmcm (No. 63)
Inequivalent atoms, fractional coordinates:
Rb 0.0000 0.0034 0.2500
Rb 0.0000 0.1347 0.5461
Rb 0.0000 0.4000 0.6202
Na 0.0000 0.2970 0.1838
Hg 0.0000 0.2850 0.7500

=====

Structure and theoretical powder diffractogram of RbNa6Hg6 (a PBE-relaxed structure; copper Kα).

The 10 most intense peaks (15 to 90 degrees two-theta), by angle:
Position (°2θ), intensity, (hkl)
16.30, 100, 0 2 0
22.71, 15, 0 2 2
23.11, 24, 1 2 1
31.72, 29, 0 0 4
32.32, 19, 1 2 3
32.91, 77, 2 0 2
35.86, 33, 0 2 4
36.91, 67, 2 2 2
46.39, 16, 0 4 4
47.24, 29, 2 4 2

Atomic structure:
Lattice parameters (Å, degrees): 6.2200 10.8738 11.2844 90.00 90.00 90.00
Space group Immm (No. 71)
Inequivalent atoms, fractional coordinates:
Rb 0.0000 0.0000 0.0000
Na 0.0000 0.0000 0.3517
Na 0.0000 0.3387 0.0000
Na 0.0000 0.5000 0.3035
Hg 0.0000 0.2756 0.5000
Hg 0.2500 0.2500 0.2500

=====

Structure and theoretical powder diffractogram of Rb3Na3Hg (a PBE-relaxed structure; copper Kα).

The 10 most intense peaks (15 to 90 degrees two-theta), by angle:
Position (°2θ), intensity, (hkl)
16.96, 58, 2 0 2
22.16, 100, 1 1 -3
23.81, 44, 4 0 -1
24.12, 77, 1 1 3
25.30, 78, 3 1 -1
26.61, 68, 0 0 6
28.34, 99, 4 0 -5
36.26, 55, 0 2 0
37.52, 73, 3 1 5
46.70, 51, 4 2 -5

Atomic structure:
Lattice parameters (Å, degrees): 15.0186 4.9537 20.9065 90.00 105.89 90.00
Space group C2/m (No. 12)
Inequivalent atoms, fractional coordinates:
Rb 0.0063 0.0000 0.3906
Rb 0.1262 0.0000 0.9183
Rb 0.2478 0.0000 0.2494
Na 0.0314 0.5000 0.2386
Na 0.0955 0.5000 0.0804
Na 0.1926 0.5000 0.5356
Hg 0.2004 0.5000 0.3757

=====

Structure and theoretical powder diffractogram of Rb5NaHg4 (a PBE-relaxed structure; copper Kα).

The 10 most intense peaks (15 to 90 degrees two-theta), by angle:
Position (°2θ), intensity, (hkl)
15.80, 53, 2 0 1
21.34, 45, 1 1 1
25.56, 23, 6 0 -2
26.08, 46, 3 1 -2
28.75, 55, 5 1 -2
29.10, 39, 4 0 -3
32.25, 100, 7 1 -1
33.47, 50, 3 1 2
34.61, 38, 0 2 0
45.82, 23, 4 2 -3

Atomic structure:
Lattice parameters (Å, degrees): 23.0193 5.1836 9.3072 90.00 113.71 90.00
Space group C2/m (No. 12)
Inequivalent atoms, fractional coordinates:
Rb 0.0000 0.0000 0.0000
Rb 0.1397 0.5000 0.5149
Rb 0.1972 0.5000 0.1081
Na 0.0000 0.0000 0.5000
Hg 0.0411 0.5000 0.7405
Hg 0.1255 0.0000 0.8081

=====

Structure and theoretical powder diffractogram of RbNa3Hg4 (a PBE-relaxed structure; copper Kα).

The 10 most intense peaks (15 to 90 degrees two-theta), by angle:
Position (°2θ), intensity, (hkl)
17.09, 59, 1 0 1
22.55, 90, 0 2 0
25.24, 26, 2 1 1
28.47, 30, 1 2 1
32.12, 100, 2 2 1
34.04, 48, 4 0 0
34.18, 25, 0 3 0
34.57, 53, 2 0 2
41.29, 33, 4 2 0
51.52, 25, 0 2 3

Atomic structure:
Lattice parameters (Å, degrees): 10.5350 7.8707 5.9622 90.00 90.00 90.00
Space group Pmma (No. 51)
Inequivalent atoms, fractional coordinates:
Rb 0.0000 0.0000 0.0000
Na 0.0000 0.5000 0.0000
Na 0.2500 0.0000 0.4776
Na 0.2500 0.5000 0.3420
Hg 0.0000 0.2927 0.5000
Hg 0.2500 0.3045 0.8271

=====

Structure and theoretical powder diffractogram of RbNa2Hg (a PBE-relaxed structure; copper Kα).

The 10 most intense peaks (15 to 90 degrees two-theta), by angle:
Position (°2θ), intensity, (hkl)
17.84, 100, 1 1 0
22.76, 19, 0 1 2
24.03, 36, 1 2 -2
26.47, 17, 2 1 -1
27.91, 27, 0 2 2
29.25, 25, 2 2 -2
31.86, 25, 1 3 0
32.33, 22, 2 1 -4
33.35, 19, 1 0 2
36.84, 22, 3 1 -2

Atomic structure:
Lattice parameters (Å, degrees): 7.8978 9.6265 11.6017 90.00 132.52 90.00
Space group P2_1/c (No. 14)
Inequivalent atoms, fractional coordinates:
Rb 0.1454 0.0115 0.2395
Na 0.2331 0.1092 0.6362
Na 0.4842 0.6579 0.4221
Hg 0.2968 0.7177 0.0770

=====

Structure and theoretical powder diffractogram of RbNa22Hg6 (a PBE-relaxed structure; copper Kα).

The 10 most intense peaks (15 to 90 degrees two-theta), by angle:
Position (°2θ), intensity, (hkl)
15.78, 24, 2 2 0
19.36, 100, 2 2 2
22.39, 68, 4 0 0
31.87, 86, 4 4 0
33.86, 24, 6 0 0
37.56, 76, 6 2 2
39.30, 20, 4 4 4
50.06, 29, 6 6 2
51.46, 22, 8 4 0
56.79, 33, 8 4 4

Atomic structure:
Lattice parameters (Å, degrees): 15.8844 15.8844 15.8844 90.00 90.00 90.00
Space group Fm-3m (No. 225)
Inequivalent atoms, fractional coordinates:
Rb 0.0000 0.0000 0.0000
Na 0.0000 0.1761 0.1761
Na 0.1156 0.1156 0.3844
Na 0.2500 0.2500 0.2500
Hg 0.0000 0.0000 0.2631